Record 1
LiCuPO4: computed powder X-ray diffraction pattern (copper Kα), based on the GGA-PBE geometry in the Materials Project.
Peak positions follow from Bragg's law for the DFT cell and can differ from measured ones.

Principal peaks in the range 10 to 90 degrees two-theta, in order of rising 2θ:
two_theta  I_rel
13.50  36
18.76  100
23.96  73
27.19  57
30.22  91
30.81  32
30.96  40
32.03  37
32.53  66
33.93  91

Crystal structure
```
LiCuPO4
1.0
3.8298 -6.3736 0.0000
3.8298 6.3736 0.0000
-0.4895 0.0000 9.4603
Li Cu P O
6 6 6 24
Direct
0.0260 0.9740 0.5000
0.1904 0.4502 0.5092
0.2806 0.4825 0.0075
0.4502 0.1904 0.0092
0.4825 0.2806 0.5075
0.9740 0.0260 0.0000
0.1757 0.7567 0.2774
0.2524 0.8239 0.8001
0.6309 0.6813 0.7924
0.6813 0.6309 0.2924
0.7567 0.1757 0.7774
0.8239 0.2524 0.3001
0.2305 0.2320 0.7548
0.2320 0.2305 0.2548
0.5645 0.8899 0.0855
0.5692 0.9101 0.4853
0.8899 0.5645 0.5855
0.9101 0.5692 0.9853
0.0139 0.1370 0.8132
0.0593 0.7794 0.6354
0.1124 0.3434 0.3104
0.1186 0.6053 0.9306
0.1370 0.0139 0.3132
0.2276 0.2293 0.5927
0.2293 0.2276 0.0927
0.3434 0.1124 0.8104
0.3519 0.7426 0.4370
0.3555 0.4537 0.8172
0.3980 0.9442 0.1302
0.4537 0.3555 0.3172
0.5239 0.6783 0.1375
0.5568 0.8757 0.9165
0.5864 0.9262 0.6508
0.6053 0.1186 0.4306
0.6783 0.5239 0.6375
0.7367 0.8605 0.4309
0.7426 0.3519 0.9370
0.7794 0.0593 0.1354
0.8605 0.7367 0.9309
0.8757 0.5568 0.4165
0.9262 0.5864 0.1508
0.9442 0.3980 0.6302
```

=====

Record 2
TiF3: computed powder X-ray diffraction pattern (copper Kα), based on the GGA-PBE geometry in the Materials Project.
Peak positions follow from Bragg's law for the DFT cell and can differ from measured ones.

Principal peaks in the range 10 to 90 degrees two-theta, in order of rising 2θ:
two_theta  I_rel
26.87  20
29.02  100
47.47  4
48.82  40
55.39  31
60.15  23
63.74  16
76.91  8
85.08  6
86.23  7

Crystal structure
```
TiF3
1.0
3.3175 1.9153 1.2142
-3.3175 1.9153 1.2142
0.0000 -3.8307 1.2142
Ti F
1 3
Direct
0.0000 0.0000 0.0000
0.0000 0.0000 0.5000
0.0000 0.5000 0.0000
0.5000 0.0000 0.0000
```

=====

Record 3
Hg4Pt: computed powder X-ray diffraction pattern (copper Kα), based on the GGA-PBE geometry in the Materials Project.
Peak positions follow from Bragg's law for the DFT cell and can differ from measured ones.

Principal peaks in the range 10 to 90 degrees two-theta, in order of rising 2θ:
two_theta  I_rel
19.66  22
27.94  48
34.40  11
39.93  100
49.44  14
53.70  6
57.74  17
65.35  18
72.51  36
86.13  12

Crystal structure
```
Hg4Pt
1.0
-3.1932 3.1932 3.1932
3.1932 -3.1932 3.1932
3.1932 3.1932 -3.1932
Hg Pt
4 1
Direct
0.0000 0.0000 0.5000
0.0000 0.5000 0.0000
0.5000 0.0000 0.0000
0.5000 0.5000 0.5000
0.0000 0.0000 0.0000
```

=====

Record 4
HfCoSn: computed powder X-ray diffraction pattern (copper Kα), based on the GGA-PBE geometry in the Materials Project.
Peak positions follow from Bragg's law for the DFT cell and can differ from measured ones.

Principal peaks in the range 10 to 90 degrees two-theta, in order of rising 2θ:
two_theta  I_rel
31.52  24
34.35  26
37.93  100
41.84  23
42.11  14
53.31  11
56.12  14
60.86  9
72.39  14
73.81  15

Crystal structure
```
HfCoSn
1.0
6.5556 0.0000 0.0000
-3.2778 5.6773 0.0000
0.0000 0.0000 4.3185
Hf Co Sn
3 3 3
Direct
0.0000 0.4682 0.0000
0.4682 0.0000 0.0000
0.5318 0.5318 0.0000
0.0000 0.7648 0.5000
0.2352 0.2352 0.5000
0.7648 0.0000 0.5000
0.0000 0.0000 0.0000
0.3333 0.6667 0.5000
0.6667 0.3333 0.5000
```

=====

Record 5
Cu17Se10: computed powder X-ray diffraction pattern (copper Kα), based on the GGA-PBE geometry in the Materials Project.
Peak positions follow from Bragg's law for the DFT cell and can differ from measured ones.

Principal peaks in the range 10 to 90 degrees two-theta, in order of rising 2θ:
two_theta  I_rel
26.78  56
27.05  23
38.03  12
44.39  100
44.65  24
44.77  47
52.80  15
64.84  20
81.79  16
82.07  14

Crystal structure
```
Cu17Se10
1.0
3.5397 -2.0382 0.0000
3.5397 2.0382 0.0000
-2.4570 0.0000 32.9673
Cu Se
17 10
Direct
0.0000 0.0000 0.0000
0.0856 0.0856 0.4419
0.0914 0.0914 0.2837
0.1938 0.1938 0.5909
0.2269 0.2269 0.7288
0.2874 0.2874 0.8998
0.4056 0.4056 0.1886
0.4418 0.4418 0.3335
0.5046 0.5046 0.4947
0.5735 0.5735 0.7793
0.6130 0.6130 0.8770
0.6763 0.6763 0.0812
0.7792 0.7792 0.3817
0.8838 0.8838 0.6762
0.8997 0.8997 0.7562
0.9344 0.9344 0.8439
0.9899 0.9899 0.1388
0.0794 0.0794 0.2105
0.1763 0.1763 0.5126
0.2547 0.2547 0.8104
0.3610 0.3610 0.1094
0.4632 0.4632 0.4097
0.5584 0.5584 0.6988
0.6682 0.6682 0.0099
0.7686 0.7686 0.3071
0.8636 0.8636 0.6051
0.9600 0.9600 0.9216
```